For CaEuZrCrO6, a GGA+U-relaxed structure gives the theoretical X-ray powder pattern in this record (Cu Kα, 1.54184 Å).

Atomic structure:
Cell lengths 8.0160, 8.0160, 8.0160 Å; angles 90.00, 90.00, 90.00 degrees
Space group F-43m (No. 216)
Symmetry-distinct sites (fractional):
Ca: 0.0000 0.0000 0.0000
Eu: 0.0000 0.0000 0.5000
Zr: 0.2500 0.2500 0.7500
Cr: 0.2500 0.2500 0.2500
O: 0.0080 0.2500 0.2500

Top 6 peaks for 10 to 80 degrees two-theta, by intensity:
two_theta	I_rel	hkl
31.57	100	2 2 0
56.22	38	4 2 2
45.25	35	4 0 0
19.18	30	1 1 1
65.92	21	4 4 0
37.20	19	3 1 1